No. 1
Theoretical X-ray powder pattern
Compound: Nd4Dy2Y3
Radiation: Cu Kα
Structure: a crystal structure in Alexandria, relaxed with PBE

Largest 10 diffraction maxima, in order of rising 2θ, 15° ≤ 2θ ≤ 90°:
d/Å, 2theta, I/Imax
3.569, 24.95, 19
2.940, 30.41, 12
2.891, 30.94, 85
2.845, 31.45, 100
2.225, 40.55, 27
2.028, 44.69, 28
1.651, 55.67, 27
1.642, 55.99, 16
1.512, 61.32, 31
1.209, 79.27, 12

Crystal structure
```
Nd4Dy2Y3
1.0
4.9280 -8.5334 0.0000
4.9280 8.5334 0.0000
0.0000 0.0000 7.1386
Nd Dy Y
8 4 6
direct
0.0232 0.6774 0.0000 Nd
0.3205 0.3491 0.0000 Nd
0.3226 0.9768 0.5000 Nd
0.3491 0.3205 0.5000 Nd
0.6509 0.6795 0.5000 Nd
0.6774 0.0232 0.5000 Nd
0.6795 0.6509 0.0000 Nd
0.9768 0.3226 0.0000 Nd
0.0251 0.3469 0.5000 Dy
0.3469 0.0251 0.0000 Dy
0.6531 0.9749 0.0000 Dy
0.9749 0.6531 0.5000 Dy
0.0000 0.0000 0.2500 Y
0.0000 0.0000 0.7500 Y
0.3297 0.6703 0.2500 Y
0.3297 0.6703 0.7500 Y
0.6703 0.3297 0.2500 Y
0.6703 0.3297 0.7500 Y
```

***

No. 2
Theoretical X-ray powder pattern
Compound: Ce2PrAl2Si2
Radiation: Cu Kα
Structure: a crystal structure in Alexandria, relaxed with PBE

Largest 10 diffraction maxima, in order of rising 2θ, 15° ≤ 2θ ≤ 90°:
d/Å, 2theta, I/Imax
4.730, 18.76, 17
3.700, 24.05, 71
2.746, 32.61, 100
2.571, 34.89, 60
2.155, 41.93, 63
1.781, 51.29, 17
1.695, 54.11, 24
1.651, 55.66, 16
1.422, 65.67, 26
1.332, 70.72, 21

Crystal structure
```
Ce2PrAl2Si2
1.0
2.1546 1.2439 9.4605
-2.1546 1.2439 9.4605
0.0000 -2.4879 9.4605
Ce Pr Al Si
2 1 2 2
direct
0.1389 0.1389 0.1389 Ce
0.8611 0.8611 0.8611 Ce
0.0000 0.0000 0.0000 Pr
0.4071 0.4071 0.4071 Al
0.5929 0.5929 0.5929 Al
0.2605 0.2605 0.2605 Si
0.7395 0.7395 0.7395 Si
```

***

No. 3
Theoretical X-ray powder pattern
Compound: Ba2ZrBr2N2
Radiation: Cu Kα
Structure: a crystal structure in Alexandria, relaxed with PBE

Largest 10 diffraction maxima, in order of rising 2θ, 15° ≤ 2θ ≤ 90°:
d/Å, 2theta, I/Imax
3.169, 28.16, 86
2.723, 32.90, 100
2.548, 35.23, 19
2.241, 40.25, 40
1.753, 52.19, 11
1.730, 52.92, 51
1.584, 58.23, 13
1.417, 65.91, 15
1.369, 68.52, 12
1.168, 82.57, 14

Crystal structure
```
Ba2ZrBr2N2
1.0
4.4812 0.0000 0.0000
0.0000 4.4812 0.0000
0.0000 0.0000 17.1406
Ba Zr Br N
4 2 4 4
direct
0.0000 0.0000 0.1034 Ba
0.0000 0.0000 0.8966 Ba
0.5000 0.5000 0.3966 Ba
0.5000 0.5000 0.6034 Ba
0.0000 0.0000 0.5000 Zr
0.5000 0.5000 0.0000 Zr
0.0000 0.0000 0.3279 Br
0.0000 0.0000 0.6721 Br
0.5000 0.5000 0.1721 Br
0.5000 0.5000 0.8279 Br
0.0000 0.5000 0.0000 N
0.0000 0.5000 0.5000 N
0.5000 0.0000 0.0000 N
0.5000 0.0000 0.5000 N
```